# CeSn5Se7
Calculated XRD peak list, CuKα. Input: a DFT-relaxed cell (GGA-PBE, Alexandria).
No peak broadening, texture or thermal motion is included.

Atomic structure:
a = 7.414 Å, b = 7.414 Å, c = 24.835 Å
α = 90.00°, β = 90.00°, γ = 147.44°
Element x y z (fractional)
1 Ce 0.211 0.789 0.500
2 Ce 0.789 0.211 0.000
3 Sn 0.012 0.988 0.743
4 Sn 0.251 0.749 0.162
5 Sn 0.285 0.715 0.815
6 Sn 0.444 0.556 0.388
7 Sn 0.483 0.517 0.587
8 Sn 0.517 0.483 0.087
9 Sn 0.556 0.444 0.888
10 Sn 0.715 0.285 0.315
11 Sn 0.749 0.251 0.662
12 Sn 0.988 0.012 0.243
13 Se 0.072 0.928 0.345
14 Se 0.120 0.880 0.612
15 Se 0.173 0.827 0.058
16 Se 0.206 0.794 0.922
17 Se 0.350 0.650 0.279
18 Se 0.378 0.622 0.701
19 Se 0.432 0.568 0.985
20 Se 0.568 0.432 0.485
21 Se 0.622 0.378 0.201
22 Se 0.650 0.350 0.779
23 Se 0.794 0.206 0.422
24 Se 0.827 0.173 0.558
25 Se 0.880 0.120 0.112
26 Se 0.928 0.072 0.845

Principal peaks in the range 2θ = 10–90°, most intense first:
2θ/deg	Rel. int.
29.46	100
30.56	97
28.10	51
39.71	46
24.88	44
43.55	42
41.09	37
42.89	32



# CeSn3Se6
Calculated XRD peak list, CuKα. Input: a DFT-relaxed cell (GGA-PBE, Alexandria).
No peak broadening, texture or thermal motion is included.

Atomic structure:
a = 11.862 Å, b = 4.096 Å, c = 12.443 Å
α = 90.00°, β = 112.20°, γ = 90.00°
Element x y z (fractional)
1 Ce 0.202 0.250 0.041
2 Ce 0.798 0.750 0.959
3 Sn 0.040 0.750 0.287
4 Sn 0.343 0.250 0.450
5 Sn 0.385 0.750 0.832
6 Sn 0.615 0.250 0.168
7 Sn 0.657 0.750 0.550
8 Sn 0.960 0.250 0.713
9 Se 0.026 0.750 0.904
10 Se 0.098 0.250 0.445
11 Se 0.213 0.250 0.793
12 Se 0.242 0.750 0.234
13 Se 0.392 0.750 0.063
14 Se 0.425 0.750 0.613
15 Se 0.575 0.250 0.387
16 Se 0.608 0.250 0.937
17 Se 0.758 0.250 0.766
18 Se 0.787 0.750 0.207
19 Se 0.902 0.750 0.555
20 Se 0.974 0.250 0.096

Principal peaks in the range 2θ = 10–90°, most intense first:
2θ/deg	Rel. int.
31.95	100
29.63	75
44.23	69
42.12	52
42.77	48
30.31	47
38.52	44
43.05	36



# CeSnSe3
Calculated XRD peak list, CuKα. Input: a DFT-relaxed cell (GGA-PBE, Alexandria).
No peak broadening, texture or thermal motion is included.

Atomic structure:
a = 7.664 Å, b = 7.664 Å, c = 7.664 Å
α = 136.67°, β = 86.52°, γ = 109.47°
Element x y z (fractional)
1 Ce 0.000 0.000 0.000
2 Ce 0.500 0.000 0.500
3 Sn 0.277 0.527 0.750
4 Sn 0.723 0.473 0.250
5 Se 0.117 0.665 0.452
6 Se 0.288 0.335 0.952
7 Se 0.337 0.087 0.250
8 Se 0.663 0.913 0.750
9 Se 0.712 0.665 0.048
10 Se 0.883 0.335 0.548

Principal peaks in the range 2θ = 10–90°, most intense first:
2θ/deg	Rel. int.
37.99	100
31.62	70
32.07	43
20.07	40
45.66	32
24.56	32
25.98	27
60.58	26